(1)
# LiTlSi4
Simulated powder X-ray diffraction pattern, a wavelength of 1.5418 Å. Input: a cell relaxed with PBE.
Peak positions follow from Bragg's law for the DFT cell and can differ from measured ones.

Crystal structure
```
data_LiTlSi4
_chemical_formula_sum 'Li4 Tl4 Si16'
_symmetry_space_group_name_H-M 'F -4 3 m'
_symmetry_Int_Tables_number 216
_symmetry_space_group_name_Hall 'F -4 2 3'
_cell_length_a 7.555
_cell_length_b 7.555
_cell_length_c 7.555
_cell_angle_alpha 90.00
_cell_angle_beta 90.00
_cell_angle_gamma 90.00
loop_
_atom_site_label
_atom_site_type_symbol
_atom_site_fract_x
_atom_site_fract_y
_atom_site_fract_z
Li1 Li 0.000 0.000 0.000
Tl1 Tl 0.250 0.250 0.250
Si1 Si 0.128 0.128 0.628
```

Main lines, sorted by position (2θ from 10° to 80°):
| hkl | 2θ (°) | intensity |
| --- | --- | --- |
| 1 1 1 | 20.36 | 749 |
| 2 0 0 | 23.55 | 630 |
| 2 2 0 | 33.55 | 553 |
| 3 1 1 | 39.57 | 1000 |
| 2 2 2 | 41.40 | 251 |
| 3 3 1 | 52.82 | 211 |
| 4 2 0 | 54.31 | 250 |
| 4 2 2 | 59.99 | 214 |
| 5 1 1 | 64.05 | 334 |
| 4 4 0 | 70.52 | 156 |

(2)
# CsBa2CoCl8
Simulated powder X-ray diffraction pattern, a wavelength of 1.5418 Å. Input: a cell relaxed with PBE.
Peak positions follow from Bragg's law for the DFT cell and can differ from measured ones.

Crystal structure
```
data_CsBa2CoCl8
_chemical_formula_sum 'Cs1 Ba2 Co1 Cl8'
_symmetry_space_group_name_H-M 'P -1'
_symmetry_Int_Tables_number 2
_symmetry_space_group_name_Hall '-P 1'
_cell_length_a 6.408
_cell_length_b 6.644
_cell_length_c 9.253
_cell_angle_alpha 74.86
_cell_angle_beta 76.91
_cell_angle_gamma 70.43
loop_
_atom_site_label
_atom_site_type_symbol
_atom_site_fract_x
_atom_site_fract_y
_atom_site_fract_z
Cs1 Cs 0.000 0.000 0.000
Ba1 Ba 0.390 0.389 0.290
Co1 Co 0.000 0.000 0.500
Cl1 Cl 0.072 0.726 0.706
Cl2 Cl 0.074 0.229 0.613
Cl3 Cl 0.366 0.879 0.399
Cl4 Cl 0.406 0.301 0.976
```

Main lines, sorted by position (2θ from 10° to 80°):
| hkl | 2θ (°) | intensity |
| --- | --- | --- |
| 1 1 0 | 17.39 | 1000 |
| 0 1 -1 | 19.21 | 500 |
| 0 1 2 | 22.32 | 909 |
| 1 0 2 | 23.16 | 632 |
| 1 -1 0 | 23.66 | 986 |
| 0 2 1 | 28.84 | 468 |
| 1 2 2 | 29.95 | 790 |
| 2 0 1 | 30.12 | 489 |
| 0 0 3 | 30.38 | 498 |
| 2 1 3 | 36.49 | 657 |

(3)
# TbPm2Nd4Tm
Simulated powder X-ray diffraction pattern, a wavelength of 1.5418 Å. Input: a cell relaxed with PBE.
Peak positions follow from Bragg's law for the DFT cell and can differ from measured ones.

Crystal structure
```
data_TbPm2Nd4Tm
_chemical_formula_sum 'Tb1 Pm2 Nd4 Tm1'
_symmetry_space_group_name_H-M 'P 1 2/m 1'
_symmetry_Int_Tables_number 10
_symmetry_space_group_name_Hall '-P 2y'
_cell_length_a 5.140
_cell_length_b 5.162
_cell_length_c 10.223
_cell_angle_alpha 90.00
_cell_angle_beta 90.08
_cell_angle_gamma 90.00
loop_
_atom_site_label
_atom_site_type_symbol
_atom_site_fract_x
_atom_site_fract_y
_atom_site_fract_z
Tb1 Tb 0.000 0.000 0.000
Pm1 Pm 0.000 0.000 0.500
Pm2 Pm 0.500 0.500 0.000
Nd1 Nd 0.000 0.500 0.252
Nd2 Nd 0.500 0.000 0.251
Tm1 Tm 0.500 0.500 0.500
```

Main lines, sorted by position (2θ from 10° to 80°):
| hkl | 2θ (°) | intensity |
| --- | --- | --- |
| 1 1 2 | 30.13 | 1000 |
| 0 2 0 | 34.76 | 171 |
| 2 0 0 | 34.91 | 169 |
| 0 0 4 | 35.11 | 166 |
| 2 2 0 | 50.09 | 122 |
| 0 2 4 | 50.27 | 181 |
| 1 3 2 | 59.47 | 146 |
| 3 1 2 | 59.67 | 144 |
| 1 1 6 | 59.94 | 142 |
| 2 2 4 | 62.64 | 124 |